# Ca2CdAs2
Simulated PXRD pattern, Cu Kα, 1.54184 Å. Input: a crystal structure in the Materials Project, relaxed with GGA-PBE.
Intensities are scaled so that the largest is 100.

Structural model:
```
data_Ca2CdAs2
_chemical_formula_sum 'Ca8 Cd4 As8'
_space_group_name_H-M_alt 'C m c 21'
_space_group_IT_number 36
_cell_length_a 4.3462
_cell_length_b 16.6064
_cell_length_c 7.1860
_cell_angle_alpha 90.00
_cell_angle_beta 90.00
_cell_angle_gamma 90.00
loop_
_space_group_symop_operation_xyz
'x,y,z'
'-x,-y,z+1/2'
'-x,y,z'
'x,-y,z+1/2'
'x+1/2,y+1/2,z'
'-x+1/2,-y+1/2,z+1/2'
'-x+1/2,y+1/2,z'
'x+1/2,-y+1/2,z+1/2'
loop_
_atom_site_label
_atom_site_fract_x
_atom_site_fract_y
_atom_site_fract_z
Ca1 0.0000 0.0320 0.0000
Ca2 0.0000 0.1998 0.6615
Cd1 0.0000 0.4007 0.8350
As1 0.0000 0.1811 0.2267
As2 0.0000 0.4353 0.2138
```

Most intense lines, 2θ = 10–80°, low angle first:
hkl	d (Å)	intensity
0 2 1	5.434	69
1 1 0	4.205	25
0 0 2	3.593	55
1 3 1	3.087	47
1 1 2	2.732	51
1 5 0	2.639	100
1 3 2	2.477	60
2 0 0	2.173	45
1 5 2	2.127	30
0 4 3	2.075	32
1 7 1	2.000	33
1 3 3	1.962	25

=====

# Ca3AsCl3
Simulated PXRD pattern, Cu Kα, 1.54184 Å. Input: a crystal structure in the Materials Project, relaxed with GGA-PBE.
Intensities are scaled so that the largest is 100.

Structural model:
```
data_Ca3AsCl3
_chemical_formula_sum 'Ca3 As1 Cl3'
_space_group_name_H-M_alt 'P m -3 m'
_space_group_IT_number 221
_space_group_name_Hall '-P 4 2 3'
_cell_length_a 5.7849
_cell_length_b 5.7849
_cell_length_c 5.7849
_cell_angle_alpha 90.00
_cell_angle_beta 90.00
_cell_angle_gamma 90.00
loop_
_atom_site_label
_atom_site_fract_x
_atom_site_fract_y
_atom_site_fract_z
Ca1 0.0000 0.0000 0.5000
As1 0.0000 0.0000 0.0000
Cl1 0.0000 0.5000 0.5000
```

Most intense lines, 2θ = 10–80°, low angle first:
hkl	d (Å)	intensity
1 0 0	5.785	39
1 1 1	3.340	7
2 0 0	2.892	100
2 1 0	2.587	21
2 2 0	2.045	68
3 0 0	1.928	11
2 2 2	1.670	22
3 2 0	1.604	5
4 0 0	1.446	10
4 1 0	1.403	6
4 2 0	1.294	27
4 2 1	1.262	4

=====

# Ca2AsClO4
Simulated PXRD pattern, Cu Kα, 1.54184 Å. Input: a crystal structure in the Materials Project, relaxed with GGA-PBE.
Intensities are scaled so that the largest is 100.

Structural model:
```
data_Ca2AsClO4
_chemical_formula_sum 'Ca8 As4 Cl4 O16'
_space_group_name_H-M_alt 'P b c m'
_space_group_IT_number 57
_cell_length_a 6.4107
_cell_length_b 7.1852
_cell_length_c 11.1756
_cell_angle_alpha 90.00
_cell_angle_beta 90.00
_cell_angle_gamma 90.00
loop_
_space_group_symop_operation_xyz
'x,y,z'
'-x,-y,-z'
'-x,-y,z+1/2'
'x,y,-z+1/2'
'x,-y+1/2,-z'
'-x,y+1/2,z'
'-x,y+1/2,-z+1/2'
'x,-y+1/2,z+1/2'
loop_
_atom_site_label
_atom_site_fract_x
_atom_site_fract_y
_atom_site_fract_z
Ca1 0.1244 0.2500 0.0000
Ca2 0.3599 0.5236 0.2500
As1 0.3710 0.7500 0.0000
Cl1 0.0024 0.7008 0.7500
O1 0.2074 0.5661 0.0286
O2 0.4687 0.2366 0.6238
```

Most intense lines, 2θ = 10–80°, low angle first:
hkl	d (Å)	intensity
0 0 2	5.588	80
1 1 0	4.784	30
1 1 1	4.398	52
0 2 0	3.593	75
0 2 2	3.022	86
2 1 0	2.927	65
0 0 4	2.794	95
1 2 2	2.733	70
2 1 2	2.593	100
2 1 4	2.022	80
2 3 2	1.815	64
4 2 2	1.416	43

=====

# Ca2As3Pb3ClO12
Simulated PXRD pattern, Cu Kα, 1.54184 Å. Input: a crystal structure in the Materials Project, relaxed with GGA-PBE.
Intensities are scaled so that the largest is 100.

Structural model:
```
data_Ca2As3Pb3ClO12
_chemical_formula_sum 'Ca4 As6 Pb6 Cl2 O24'
_space_group_name_H-M_alt 'P 63/m'
_space_group_IT_number 176
_space_group_name_Hall '-P 6c'
_cell_length_a 10.3967
_cell_length_b 10.3967
_cell_length_c 7.1814
_cell_angle_alpha 90.00
_cell_angle_beta 90.00
_cell_angle_gamma 120.00
loop_
_atom_site_label
_atom_site_fract_x
_atom_site_fract_y
_atom_site_fract_z
Ca1 0.3333 0.6667 0.0062
As1 0.0298 0.4210 0.7500
Pb1 0.0265 0.7645 0.7500
Cl1 0.0000 0.0000 0.0000
O1 0.0890 0.3635 0.5593
O2 0.1448 0.6141 0.7500
O3 0.1549 0.6335 0.2500
```

Most intense lines, 2θ = 10–80°, low angle first:
hkl	d (Å)	intensity
1 1 0	5.198	13
1 1 1	4.211	18
2 0 1	3.814	10
0 0 2	3.591	28
2 1 0	3.403	10
1 2 1	3.075	100
3 0 0	3.001	14
1 1 2	2.954	25
1 2 2	2.470	13
2 3 1	1.985	19
1 2 3	1.958	29
4 0 2	1.907	13

=====

# CaCo2As2
Simulated PXRD pattern, Cu Kα, 1.54184 Å. Input: a crystal structure in the Materials Project, relaxed with GGA-PBE.
Intensities are scaled so that the largest is 100.

Structural model:
```
data_CaCo2As2
_chemical_formula_sum 'Ca2 Co4 As4'
_space_group_name_H-M_alt 'I 4/m m m'
_space_group_IT_number 139
_space_group_name_Hall '-I 4 2'
_cell_length_a 4.0089
_cell_length_b 4.0089
_cell_length_c 10.3792
_cell_angle_alpha 90.00
_cell_angle_beta 90.00
_cell_angle_gamma 90.00
loop_
_atom_site_label
_atom_site_fract_x
_atom_site_fract_y
_atom_site_fract_z
Ca1 0.0000 0.0000 0.0000
Co1 0.0000 0.5000 0.2500
As1 0.0000 0.0000 0.3652
```

Most intense lines, 2θ = 10–80°, low angle first:
hkl	d (Å)	intensity
0 0 2	5.190	50
1 0 1	3.740	31
1 0 3	2.619	100
1 1 2	2.488	65
2 0 0	2.004	80
1 1 4	1.914	73
2 0 2	1.870	13
1 0 5	1.843	15
2 1 3	1.592	42
1 1 6	1.477	26
2 2 0	1.417	24
3 1 2	1.232	11

=====

# CaCu4As2
Simulated PXRD pattern, Cu Kα, 1.54184 Å. Input: a crystal structure in the Materials Project, relaxed with GGA-PBE.
Intensities are scaled so that the largest is 100.

Structural model:
```
data_CaCu4As2
_chemical_formula_sum 'Ca3 Cu12 As6'
_space_group_name_H-M_alt 'R -3 m'
_space_group_IT_number 166
_space_group_name_Hall '-R 3 2"'
_cell_length_a 4.1640
_cell_length_b 4.1640
_cell_length_c 22.5911
_cell_angle_alpha 90.00
_cell_angle_beta 90.00
_cell_angle_gamma 120.00
loop_
_atom_site_label
_atom_site_fract_x
_atom_site_fract_y
_atom_site_fract_z
Ca1 0.0000 0.0000 0.0000
Cu1 0.0000 0.0000 0.1442
Cu2 0.0000 0.0000 0.4368
As1 0.0000 0.0000 0.2532
```

Most intense lines, 2θ = 10–80°, low angle first:
hkl	d (Å)	intensity
0 0 3	7.530	57
0 0 6	3.765	11
1 0 7	2.405	76
0 1 8	2.223	10
1 1 0	2.082	100
1 1 3	2.007	13
1 0 10	1.914	38
1 1 6	1.822	9
0 2 7	1.574	19
0 2 10	1.409	13
2 1 7	1.256	17
3 0 0	1.202	16

=====

# CaCuAs
Simulated PXRD pattern, Cu Kα, 1.54184 Å. Input: a crystal structure in the Materials Project, relaxed with GGA-PBE.
Intensities are scaled so that the largest is 100.

Structural model:
```
data_CaCuAs
_chemical_formula_sum 'Ca2 Cu2 As2'
_space_group_name_H-M_alt 'P 63/m m c'
_space_group_IT_number 194
_space_group_name_Hall '-P 6c 2c'
_cell_length_a 4.1954
_cell_length_b 4.1954
_cell_length_c 7.9603
_cell_angle_alpha 90.00
_cell_angle_beta 90.00
_cell_angle_gamma 120.00
loop_
_atom_site_label
_atom_site_fract_x
_atom_site_fract_y
_atom_site_fract_z
Ca1 0.0000 0.0000 0.0000
Cu1 0.3333 0.6667 0.2500
As1 0.3333 0.6667 0.7500
```

Most intense lines, 2θ = 10–80°, low angle first:
hkl	d (Å)	intensity
0 0 2	3.980	37
1 0 0	3.633	8
1 0 2	2.683	100
1 1 0	2.098	64
0 0 4	1.990	18
1 1 2	1.856	27
1 0 4	1.745	2
2 0 2	1.653	21
1 1 4	1.444	36
2 1 2	1.298	18
1 0 6	1.246	8
3 0 0	1.211	10

=====

# CaCuAsHO5
Simulated PXRD pattern, Cu Kα, 1.54184 Å. Input: a crystal structure in the Materials Project, relaxed with GGA-PBE.
Intensities are scaled so that the largest is 100.

Structural model:
```
data_CaCuAsHO5
_chemical_formula_sum 'Ca4 Cu4 As4 H4 O20'
_space_group_name_H-M_alt 'P 21 21 21'
_space_group_IT_number 19
_cell_length_a 5.8876
_cell_length_b 7.4327
_cell_length_c 9.4926
_cell_angle_alpha 90.00
_cell_angle_beta 90.00
_cell_angle_gamma 90.00
loop_
_space_group_symop_operation_xyz
'x,y,z'
'-x+1/2,-y,z+1/2'
'x+1/2,-y+1/2,-z'
'-x,y+1/2,-z+1/2'
loop_
_atom_site_label
_atom_site_fract_x
_atom_site_fract_y
_atom_site_fract_z
Ca1 0.0200 0.1332 0.1792
Cu1 0.2486 0.2534 0.4992
As1 0.0146 0.6187 0.6635
H1 0.0109 0.9913 0.4833
O1 0.0009 0.1096 0.4329
O2 0.0047 0.9379 0.9582
O3 0.0843 0.7931 0.5526
O4 0.2382 0.1371 0.7479
O5 0.2453 0.6014 0.7739
```

Most intense lines, 2θ = 10–80°, low angle first:
hkl	d (Å)	intensity
0 1 1	5.852	23
1 1 1	4.151	37
1 2 0	3.143	79
0 2 2	2.926	23
0 1 3	2.911	100
2 1 1	2.630	75
1 2 2	2.620	33
1 1 3	2.610	45
2 2 2	2.075	22
2 0 4	1.848	23
0 4 2	1.730	22
2 3 3	1.626	47

=====

# Ca3Cu3As4O16
Simulated PXRD pattern, Cu Kα, 1.54184 Å. Input: a crystal structure in the Materials Project, relaxed with GGA-PBE.
Intensities are scaled so that the largest is 100.

Structural model:
```
data_Ca3Cu3As4O16
_chemical_formula_sum 'Ca6 Cu6 As8 O32'
_space_group_name_H-M_alt 'P 1 21/c 1'
_space_group_IT_number 14
_cell_length_a 9.2721
_cell_length_b 5.1460
_cell_length_c 16.9195
_cell_angle_alpha 90.00
_cell_angle_beta 116.69
_cell_angle_gamma 90.00
loop_
_space_group_symop_operation_xyz
'x,y,z'
'-x,-y,-z'
'-x,y+1/2,-z+1/2'
'x,-y+1/2,z+1/2'
loop_
_atom_site_label
_atom_site_fract_x
_atom_site_fract_y
_atom_site_fract_z
Ca1 0.0000 0.0000 0.0000
Ca2 0.3032 0.0318 0.2672
Cu1 0.2095 0.5265 0.3811
Cu2 0.5000 0.0000 0.5000
As1 0.0396 0.5077 0.1597
As2 0.4360 0.5069 0.5936
O1 0.0387 0.6612 0.6436
O2 0.1065 0.1619 0.5971
O3 0.1457 0.5941 0.8498
O4 0.1911 0.0559 0.7667
O5 0.2519 0.5648 0.5043
O6 0.4193 0.1970 0.9225
O7 0.4392 0.6126 0.6887
O8 0.4988 0.6871 0.8986
```

Most intense lines, 2θ = 10–80°, low angle first:
hkl	d (Å)	intensity
1 0 -2	7.511	96
0 1 1	4.871	33
0 0 4	3.776	50
2 1 -1	3.408	89
1 1 3	2.972	78
1 1 -5	2.819	43
1 0 -6	2.781	41
3 1 -3	2.638	100
0 1 5	2.607	30
0 2 0	2.573	65
3 0 2	2.284	32
2 2 -6	1.888	32

=====

# CaCuAsO5
Simulated PXRD pattern, Cu Kα, 1.54184 Å. Input: a crystal structure in the Materials Project, relaxed with GGA-PBE.
Intensities are scaled so that the largest is 100.

Structural model:
```
data_CaCuAsO5
_chemical_formula_sum 'Ca4 Cu4 As4 O20'
_space_group_name_H-M_alt 'P 21 21 21'
_space_group_IT_number 19
_cell_length_a 5.6934
_cell_length_b 7.5488
_cell_length_c 9.6865
_cell_angle_alpha 90.00
_cell_angle_beta 90.00
_cell_angle_gamma 90.00
loop_
_space_group_symop_operation_xyz
'x,y,z'
'-x+1/2,-y,z+1/2'
'x+1/2,-y+1/2,-z'
'-x,y+1/2,-z+1/2'
loop_
_atom_site_label
_atom_site_fract_x
_atom_site_fract_y
_atom_site_fract_z
Ca1 0.0184 0.1674 0.1735
Cu1 0.2494 0.7485 0.9985
As1 0.0200 0.5925 0.6694
O1 0.0009 0.1333 0.4228
O2 0.0007 0.9102 0.9540
O3 0.0914 0.7612 0.5612
O4 0.2458 0.1037 0.7515
O5 0.2492 0.4318 0.2793
```

Most intense lines, 2θ = 10–80°, low angle first:
hkl	d (Å)	intensity
0 1 1	5.954	24
1 1 1	4.115	31
0 1 2	4.076	18
1 2 0	3.146	44
0 1 3	2.971	100
1 1 3	2.635	48
2 1 1	2.568	40
2 0 2	2.454	16
2 2 2	2.057	15
2 0 4	1.845	16
2 3 3	1.628	28
2 1 5	1.567	15